For Ac6GaNi2Cl3, a DFT-relaxed cell (PBE, Alexandria) gives the simulated XRD peak list in this record (Cu Kα, 1.54184 Å).

Crystal structure
```
12
Lattice="9.966 -2.148 0.000 9.966 2.148 0.000 -2.471 0.000 8.993" Properties=species:S:1:pos:R:3 pbc="T T T"
Ac -0.347 0.000 2.275
Ac 5.343 0.000 3.950
Ac 4.522 0.000 7.966
Ac 12.939 0.000 1.027
Ac 12.118 0.000 5.042
Ac 17.808 0.000 6.718
Ga 9.966 0.000 0.000
Ni 2.545 0.000 3.045
Ni 14.916 0.000 5.948
Cl 1.072 0.000 7.451
Cl 8.731 0.000 4.496
Cl 16.389 0.000 1.541
```

Top 12 peaks for 2θ from 5° to 70°, sorted by position:
d/Å, two_theta, I_rel
7.655, 11.6, 225
3.828, 23.2, 242
3.713, 24.0, 276
3.568, 25.0, 517
3.203, 27.9, 489
3.159, 28.3, 1000
2.330, 38.6, 170
2.274, 39.6, 309
2.225, 40.5, 375
2.148, 42.1, 196
1.858, 49.0, 191
1.784, 51.2, 194

For Ac8GaRu3Cl4, a DFT-relaxed cell (PBE, Alexandria) gives the simulated XRD peak list in this record (Cu Kα, 1.54184 Å).

Crystal structure
```
16
Lattice="7.581 -4.378 0.000 7.581 4.378 0.000 -5.061 0.000 7.906" Properties=species:S:1:pos:R:3 pbc="T T T"
Ac 3.722 2.305 5.542
Ac -0.002 0.000 5.634
Ac 2.390 0.000 2.364
Ac 6.380 2.305 2.364
Ac 3.722 -2.305 5.542
Ac 7.712 0.000 5.542
Ac 10.104 0.000 2.272
Ac 6.380 -2.305 2.364
Ga 5.051 0.000 3.953
Ru -2.530 0.000 3.953
Ru 1.260 2.189 3.953
Ru 1.260 -2.189 3.953
Cl 0.000 0.000 0.000
Cl 3.791 2.189 0.000
Cl 3.791 -2.189 0.000
Cl 7.581 0.000 0.000
```

Top 12 peaks for 2θ from 5° to 70°, sorted by position:
d/Å, two_theta, I_rel
7.906, 11.2, 314
3.953, 22.5, 104
3.611, 24.7, 401
3.194, 27.9, 1000
2.526, 35.5, 206
2.335, 38.6, 291
2.189, 41.2, 394
1.915, 47.5, 90
1.873, 48.6, 217
1.805, 50.6, 189
1.423, 65.6, 112
1.393, 67.2, 154

For Ac3GeCl3, a DFT-relaxed cell (PBE, Alexandria) gives the simulated XRD peak list in this record (Cu Kα, 1.54184 Å).

Crystal structure
```
28
Lattice="-6.265 6.265 6.265 6.265 -6.265 6.265 6.265 6.265 -6.265" Properties=species:S:1:pos:R:3 pbc="T T T"
Ac 1.641 1.566 -1.491
Ac 7.756 1.641 -1.566
Ac 1.566 -1.491 1.641
Ac 4.774 4.623 -1.566
Ac 4.623 1.566 1.491
Ac -1.491 1.641 1.566
Ac 4.623 -1.566 4.774
Ac 1.566 1.491 4.623
Ac 1.491 4.623 1.566
Ac 1.641 -1.566 7.756
Ac -1.566 7.756 1.641
Ac -1.566 4.774 4.623
Ge 4.699 1.566 -1.566
Ge 1.566 1.566 1.566
Ge 1.566 -1.566 4.699
Ge -1.566 4.699 1.566
Cl 4.724 4.699 -4.674
Cl 4.674 -1.541 1.566
Cl 4.699 -4.674 4.724
Cl 1.566 4.674 -1.541
Cl 7.831 1.591 1.541
Cl 4.699 4.674 1.541
Cl -1.541 1.566 4.674
Cl 4.674 1.541 4.699
Cl 1.541 4.699 4.674
Cl 1.591 1.541 7.831
Cl -4.674 4.724 4.699
Cl 1.541 7.831 1.591
```

Top 12 peaks for 2θ from 5° to 70°, sorted by position:
d/Å, two_theta, I_rel
8.860, 10.0, 642
3.962, 22.4, 126
3.617, 24.6, 583
3.349, 26.6, 150
3.132, 28.5, 1000
2.457, 36.6, 170
2.215, 40.7, 755
1.889, 48.2, 310
1.808, 50.5, 268
1.566, 59.0, 124
1.437, 64.9, 129
1.401, 66.8, 339

For Ac3GeCl3, a DFT-relaxed cell (PBE, Alexandria) gives the simulated XRD peak list in this record (Cu Kα, 1.54184 Å).

Crystal structure
```
7
Lattice="6.210 0.000 0.000 0.000 6.210 0.000 0.000 0.000 6.210" Properties=species:S:1:pos:R:3 pbc="T T T"
Ac 0.000 0.000 3.105
Ac 0.000 3.105 0.000
Ac 3.105 0.000 0.000
Ge 0.000 0.000 0.000
Cl 0.000 3.105 3.105
Cl 3.105 0.000 3.105
Cl 3.105 3.105 0.000
```

Top 12 peaks for 2θ from 5° to 70°, sorted by position:
d/Å, two_theta, I_rel
6.210, 14.3, 471
4.391, 20.2, 216
3.586, 24.8, 586
3.105, 28.7, 1000
2.777, 32.2, 280
2.196, 41.1, 762
2.070, 43.7, 156
1.873, 48.6, 324
1.793, 50.9, 273
1.553, 59.5, 128
1.425, 65.5, 139
1.389, 67.4, 354

For Ac4GeP2Cl, a DFT-relaxed cell (PBE, Alexandria) gives the simulated XRD peak list in this record (Cu Kα, 1.54184 Å).

Crystal structure
```
16
Lattice="6.298 0.000 0.000 0.000 6.298 0.000 0.000 0.000 12.672" Properties=species:S:1:pos:R:3 pbc="T T T"
Ac 0.000 0.000 3.093
Ac 0.000 0.000 9.579
Ac 0.000 3.149 0.000
Ac 0.000 3.149 6.336
Ac 3.149 0.000 0.000
Ac 3.149 0.000 6.336
Ac 3.149 3.149 3.243
Ac 3.149 3.149 9.430
Ge 0.000 0.000 0.000
Ge 3.149 3.149 6.336
P 0.000 3.149 3.168
P 0.000 3.149 9.504
P 3.149 0.000 3.168
P 3.149 0.000 9.504
Cl 0.000 0.000 6.336
Cl 3.149 3.149 0.000
```

Top 12 peaks for 2θ from 5° to 70°, sorted by position:
d/Å, two_theta, I_rel
3.643, 24.4, 1000
3.168, 28.2, 400
3.149, 28.3, 795
2.233, 40.4, 613
2.227, 40.5, 307
1.908, 47.7, 176
1.900, 47.9, 357
1.822, 50.1, 332
1.574, 58.6, 105
1.449, 64.3, 149
1.415, 66.0, 142
1.409, 66.3, 290

For Ac4Ge2SbCl, a DFT-relaxed cell (PBE, Alexandria) gives the simulated XRD peak list in this record (Cu Kα, 1.54184 Å).

Crystal structure
```
16
Lattice="6.527 0.000 0.000 0.000 6.527 0.000 0.000 0.000 12.982" Properties=species:S:1:pos:R:3 pbc="T T T"
Ac 0.000 0.000 3.236
Ac 0.000 0.000 9.746
Ac 0.000 3.263 0.000
Ac 0.000 3.263 6.491
Ac 3.263 0.000 0.000
Ac 3.263 0.000 6.491
Ac 3.263 3.263 3.255
Ac 3.263 3.263 9.727
Ge 0.000 3.263 3.245
Ge 0.000 3.263 9.736
Ge 3.263 0.000 3.245
Ge 3.263 0.000 9.736
Sb 0.000 0.000 6.491
Sb 3.263 3.263 0.000
Cl 0.000 0.000 0.000
Cl 3.263 3.263 6.491
```

Top 12 peaks for 2θ from 5° to 70°, sorted by position:
d/Å, two_theta, I_rel
3.761, 23.7, 641
3.263, 27.3, 1000
3.245, 27.5, 493
2.307, 39.0, 392
2.301, 39.1, 777
1.967, 46.2, 236
1.959, 46.3, 116
1.881, 48.4, 426
1.632, 56.4, 136
1.493, 62.2, 102
1.459, 63.8, 375
1.453, 64.1, 185